Entry 1:
This entry pairs a crystal structure of Hf3P2 with its theoretical powder X-ray diffraction pattern. Radiation: copper Kα. Structure: the GGA-PBE geometry in the Materials Project.
Peak positions follow from Bragg's law for the DFT cell and can differ from measured ones.

Peak list (10 most intense, 10° ≤ 2θ ≤ 90°, in order of falling intensity)
Position (°2θ)	I/Imax	index
37.1	100	0 1 3
31.8	98	2 1 1
32.0	77	3 0 2
27.9	75	1 1 1
40.9	74	3 1 2
35.6	52	2 1 2
37.5	48	1 0 4
36.4	46	4 0 1
61.4	45	6 0 3
51.0	42	0 2 0

Structure:
```
data_Hf3P2
_chemical_formula_sum 'Hf12 P8'
_cell_length_a 10.204
_cell_length_b 3.582
_cell_length_c 9.875
_cell_angle_alpha 90.00
_cell_angle_beta 90.00
_cell_angle_gamma 90.00
_space_group_name_H-M_alt 'P n m a'
_space_group_IT_number 62
loop_
_space_group_symop_operation_xyz
'x,y,z'
'-x,-y,-z'
'-x+1/2,-y,z+1/2'
'x+1/2,y,-z+1/2'
'x+1/2,-y+1/2,-z+1/2'
'-x+1/2,y+1/2,z+1/2'
'-x,y+1/2,-z'
'x,-y+1/2,z'
loop_
_atom_site_label
_atom_site_fract_x
_atom_site_fract_y
_atom_site_fract_z
Hf1 0.046 0.250 0.126
Hf2 0.125 0.750 0.565
Hf3 0.216 0.250 0.797
P1 0.027 0.750 0.321
P2 0.193 0.750 0.000
```

---

Entry 2:
This entry pairs a crystal structure of Hf5P7Pd9 with its theoretical powder X-ray diffraction pattern. Radiation: copper Kα. Structure: the GGA-PBE geometry in the Materials Project.
Peak positions follow from Bragg's law for the DFT cell and can differ from measured ones.

Peak list (10 most intense, 10° ≤ 2θ ≤ 90°, in order of falling intensity)
Position (°2θ)	I/Imax	index
36.1	100	1 7 1
38.8	54	1 4 2
36.2	41	1 0 2
47.9	30	2 0 0
39.7	28	0 11 1
27.1	21	0 7 1
41.4	21	1 10 0
43.8	17	0 10 2
29.0	16	1 3 1
42.7	15	0 3 3

Structure:
```
data_Hf5P7Pd9
_chemical_formula_sum 'Hf10 P14 Pd18'
_cell_length_a 3.795
_cell_length_b 26.659
_cell_length_c 6.547
_cell_angle_alpha 90.00
_cell_angle_beta 90.00
_cell_angle_gamma 90.00
_space_group_name_H-M_alt 'A m m 2'
_space_group_IT_number 38
loop_
_space_group_symop_operation_xyz
'x,y,z'
'-x,-y,z'
'-x,y,z'
'x,-y,z'
'x,y+1/2,z+1/2'
'-x,-y+1/2,z+1/2'
'-x,y+1/2,z+1/2'
'x,-y+1/2,z+1/2'
loop_
_atom_site_label
_atom_site_fract_x
_atom_site_fract_y
_atom_site_fract_z
Hf1 0.000 0.000 0.000
Hf2 0.000 0.088 0.380
Hf3 0.500 0.229 0.776
P1 0.000 0.000 0.602
P2 0.000 0.215 0.063
P3 0.500 0.068 0.096
P4 0.500 0.144 0.578
Pd1 0.000 0.140 0.822
Pd2 0.000 0.197 0.446
Pd3 0.500 0.000 0.354
Pd4 0.500 0.058 0.731
Pd5 0.500 0.157 0.163
```

---

Entry 3:
This entry pairs a crystal structure of Hf3P3Pd4 with its theoretical powder X-ray diffraction pattern. Radiation: copper Kα. Structure: the GGA-PBE geometry in the Materials Project.
Peak positions follow from Bragg's law for the DFT cell and can differ from measured ones.

Peak list (10 most intense, 10° ≤ 2θ ≤ 90°, in order of falling intensity)
Position (°2θ)	I/Imax	index
37.2	100	5 1 1
37.4	82	2 0 4
47.8	44	0 2 0
39.4	42	3 1 3
36.8	34	4 1 2
65.8	23	7 1 5
42.4	20	7 0 2
36.1	17	1 1 3
35.7	17	0 1 3
25.6	16	1 1 1

Structure:
```
data_Hf3P3Pd4
_chemical_formula_sum 'Hf12 P12 Pd16'
_cell_length_a 16.479
_cell_length_b 3.808
_cell_length_c 10.059
_cell_angle_alpha 90.00
_cell_angle_beta 90.00
_cell_angle_gamma 90.00
_space_group_name_H-M_alt 'P n m a'
_space_group_IT_number 62
loop_
_space_group_symop_operation_xyz
'x,y,z'
'-x,-y,-z'
'-x+1/2,-y,z+1/2'
'x+1/2,y,-z+1/2'
'x+1/2,-y+1/2,-z+1/2'
'-x+1/2,y+1/2,z+1/2'
'-x,y+1/2,-z'
'x,-y+1/2,z'
loop_
_atom_site_label
_atom_site_fract_x
_atom_site_fract_y
_atom_site_fract_z
Hf1 0.048 0.250 0.118
Hf2 0.061 0.750 0.588
Hf3 0.240 0.250 0.979
P1 0.043 0.750 0.320
P2 0.114 0.750 0.967
P3 0.177 0.250 0.610
Pd1 0.081 0.250 0.819
Pd2 0.128 0.250 0.383
Pd3 0.176 0.750 0.189
Pd4 0.206 0.750 0.768
```

---

Entry 4:
This entry pairs a crystal structure of HfPaTc2 with its theoretical powder X-ray diffraction pattern. Radiation: copper Kα. Structure: the GGA-PBE geometry in the Materials Project.
Peak positions follow from Bragg's law for the DFT cell and can differ from measured ones.

Peak list (10 most intense, 10° ≤ 2θ ≤ 90°, in order of falling intensity)
Position (°2θ)	I/Imax	index
37.9	100	2 2 0
68.4	36	4 2 2
54.6	17	4 0 0
26.5	13	2 0 0
80.9	11	4 4 0
61.7	6	4 2 0
46.8	4	2 2 2
87.0	3	6 0 0
22.9	2	1 1 1
44.7	1	3 1 1

Structure:
```
data_HfPaTc2
_chemical_formula_sum 'Hf4 Pa4 Tc8'
_cell_length_a 6.721
_cell_length_b 6.721
_cell_length_c 6.721
_cell_angle_alpha 90.00
_cell_angle_beta 90.00
_cell_angle_gamma 90.00
_space_group_name_H-M_alt 'F m -3 m'
_space_group_IT_number 225
_space_group_name_Hall '-F 4 2 3'
loop_
_atom_site_label
_atom_site_fract_x
_atom_site_fract_y
_atom_site_fract_z
Hf1 0.000 0.000 0.000
Pa1 0.000 0.000 0.500
Tc1 0.250 0.250 0.250
```

---

Entry 5:
This entry pairs a crystal structure of Hf5Pb with its theoretical powder X-ray diffraction pattern. Radiation: copper Kα. Structure: the GGA-PBE geometry in the Materials Project.
Peak positions follow from Bragg's law for the DFT cell and can differ from measured ones.

Peak list (10 most intense, 10° ≤ 2θ ≤ 90°, in order of falling intensity)
Position (°2θ)	I/Imax	index
34.3	100	1 0 3
39.9	34	1 1 0
68.8	27	2 1 3
57.5	22	1 1 6
39.7	16	0 0 6
68.5	12	1 0 9
57.6	12	2 0 0
72.2	11	2 0 6
86.0	4	2 2 0
85.5	1	0 0 12

Structure:
```
data_Hf5Pb
_chemical_formula_sum 'Hf5 Pb1'
_cell_length_a 3.198
_cell_length_b 3.198
_cell_length_c 13.633
_cell_angle_alpha 90.00
_cell_angle_beta 90.00
_cell_angle_gamma 90.00
_space_group_name_H-M_alt 'P 4/m m m'
_space_group_IT_number 123
_space_group_name_Hall '-P 4 2'
loop_
_atom_site_label
_atom_site_fract_x
_atom_site_fract_y
_atom_site_fract_z
Hf1 0.000 0.000 0.000
Hf2 0.000 0.000 0.321
Hf3 0.500 0.500 0.164
Pb1 0.500 0.500 0.500
```

---

Entry 6:
This entry pairs a crystal structure of HfPbS3 with its theoretical powder X-ray diffraction pattern. Radiation: copper Kα. Structure: the GGA-PBE geometry in the Materials Project.
Peak positions follow from Bragg's law for the DFT cell and can differ from measured ones.

Peak list (10 most intense, 10° ≤ 2θ ≤ 90°, in order of falling intensity)
Position (°2θ)	I/Imax	index
21.1	100	1 0 3
31.2	88	2 1 1
45.8	64	3 1 4
28.5	62	1 1 2
15.7	62	1 0 2
30.6	52	2 1 0
39.7	51	0 1 5
22.9	35	2 0 2
29.6	29	3 0 1
31.8	29	2 0 4

Structure:
```
data_HfPbS3
_chemical_formula_sum 'Hf4 Pb4 S12'
_cell_length_a 9.263
_cell_length_b 3.774
_cell_length_c 14.198
_cell_angle_alpha 90.00
_cell_angle_beta 90.00
_cell_angle_gamma 90.00
_space_group_name_H-M_alt 'P n m a'
_space_group_IT_number 62
loop_
_space_group_symop_operation_xyz
'x,y,z'
'-x,-y,-z'
'-x+1/2,-y,z+1/2'
'x+1/2,y,-z+1/2'
'x+1/2,-y+1/2,-z+1/2'
'-x+1/2,y+1/2,z+1/2'
'-x,y+1/2,-z'
'x,-y+1/2,z'
loop_
_atom_site_label
_atom_site_fract_x
_atom_site_fract_y
_atom_site_fract_z
Hf1 0.163 0.250 0.048
Pb1 0.030 0.250 0.671
S1 0.010 0.250 0.897
S2 0.174 0.250 0.491
S3 0.235 0.750 0.712
```